No. 1
AcNd12Y5: theoretical X-ray powder pattern (a wavelength of 1.5418 Å), based on a crystal structure in Alexandria, relaxed with GGA-PBE.
No peak broadening, texture or thermal motion is included.

Most intense lines, 2θ = 10–90°, low angle first:
| 2theta | Rel. int. | (hkl) |
| --- | --- | --- |
| 29.8 | 100 | 3 3 1 |
| 34.6 | 51 | 0 0 2 |
| 49.7 | 36 | 6 0 2 |
| 59.0 | 29 | 3 3 3 |
| 59.1 | 14 | 9 3 1 |
| 80.7 | 17 | 3 9 3 |

Atomic structure:
```
data_AcNd12Y5
_chemical_formula_sum 'Ac2 Nd24 Y10'
_symmetry_space_group_name_H-M 'C m m m'
_symmetry_Int_Tables_number 65
_symmetry_space_group_name_Hall '-C 2 2'
_cell_length_a 15.5518
_cell_length_b 15.5857
_cell_length_c 5.1888
_cell_angle_alpha 90.00
_cell_angle_beta 90.00
_cell_angle_gamma 90.00
loop_
_atom_site_label
_atom_site_fract_x
_atom_site_fract_y
_atom_site_fract_z
Ac1 0.0000 0.0000 0.0000
Nd1 0.1651 0.3340 0.5000
Nd2 0.1648 0.5000 0.0000
Nd3 0.1680 0.1685 0.0000
Nd4 0.1706 0.0000 0.5000
Y1 0.0000 0.1703 0.5000
Y2 0.0000 0.3334 0.0000
Y3 0.0000 0.5000 0.5000
```

---

No. 2
Ac6Nd5Y2: theoretical X-ray powder pattern (a wavelength of 1.5418 Å), based on a crystal structure in Alexandria, relaxed with GGA-PBE.
No peak broadening, texture or thermal motion is included.

Most intense lines, 2θ = 10–90°, low angle first:
| 2theta | Rel. int. | (hkl) |
| --- | --- | --- |
| 25.8 | 87 | 3 3 0 |
| 25.9 | 60 | 1 2 1 |
| 29.7 | 88 | 0 8 0 |
| 29.9 | 96 | 3 5 0 |
| 30.5 | 100 | 2 3 1 |
| 33.6 | 56 | 3 1 1 |

Atomic structure:
```
data_Ac6Nd5Y2
_chemical_formula_sum 'Ac12 Nd10 Y4'
_symmetry_space_group_name_H-M 'P b a m'
_symmetry_Int_Tables_number 55
_cell_length_a 11.4545
_cell_length_b 24.0658
_cell_length_c 3.7723
_cell_angle_alpha 90.00
_cell_angle_beta 90.00
_cell_angle_gamma 90.00
loop_
_symmetry_equiv_pos_as_xyz
'x,y,z'
'-x,-y,-z'
'-x,-y,z'
'x,y,-z'
'x+1/2,-y+1/2,-z'
'-x+1/2,y+1/2,z'
'-x+1/2,y+1/2,-z'
'x+1/2,-y+1/2,z'
loop_
_atom_site_label
_atom_site_fract_x
_atom_site_fract_y
_atom_site_fract_z
Ac1 0.0204 0.1128 0.0000
Ac2 0.1451 0.3851 0.0000
Ac3 0.1663 0.6335 0.5000
Nd1 0.0000 0.5000 0.5000
Nd2 0.0848 0.2495 0.5000
Nd3 0.1643 0.9962 0.5000
Y1 0.1654 0.7667 0.0000
```

---

No. 3
Ac5Nd4Y2: theoretical X-ray powder pattern (a wavelength of 1.5418 Å), based on a crystal structure in Alexandria, relaxed with GGA-PBE.
No peak broadening, texture or thermal motion is included.

Most intense lines, 2θ = 10–90°, low angle first:
| 2theta | Rel. int. | (hkl) |
| --- | --- | --- |
| 28.0 | 25 | 0 1 2 |
| 29.1 | 100 | 2 0 3 |
| 29.6 | 43 | 1 0 -4 |
| 30.7 | 27 | 2 1 0 |
| 32.2 | 27 | 0 1 3 |
| 58.2 | 30 | 2 2 3 |

Atomic structure:
```
data_Ac5Nd4Y2
_chemical_formula_sum 'Ac5 Nd4 Y2'
_symmetry_space_group_name_H-M 'P 1 2/m 1'
_symmetry_Int_Tables_number 10
_cell_length_a 9.3942
_cell_length_b 3.7048
_cell_length_c 12.5893
_cell_angle_alpha 90.00
_cell_angle_beta 92.10
_cell_angle_gamma 90.00
loop_
_symmetry_equiv_pos_as_xyz
'x,y,z'
'-x,-y,-z'
'-x,y,-z'
'x,-y,z'
loop_
_atom_site_label
_atom_site_fract_x
_atom_site_fract_y
_atom_site_fract_z
Ac1 0.0000 0.0000 0.0000
Ac2 0.1980 0.0000 0.5252
Ac3 0.2835 0.0000 0.8178
Nd1 0.0765 0.5000 0.2666
Nd2 0.4621 0.5000 0.3546
Y1 0.3491 0.0000 0.1188
```

---

No. 4
Ac8NdY6: theoretical X-ray powder pattern (a wavelength of 1.5418 Å), based on a crystal structure in Alexandria, relaxed with GGA-PBE.
No peak broadening, texture or thermal motion is included.

Most intense lines, 2θ = 10–90°, low angle first:
| 2theta | Rel. int. | (hkl) |
| --- | --- | --- |
| 29.0 | 100 | 3 -1 1 |
| 29.3 | 56 | 2 0 5 |
| 29.6 | 50 | 1 0 7 |
| 29.8 | 73 | 1 2 2 |
| 30.2 | 54 | 1 1 6 |
| 35.0 | 29 | 3 -2 5 |

Atomic structure:
```
data_Ac8NdY6
_chemical_formula_sum 'Ac24 Nd3 Y18'
_symmetry_space_group_name_H-M 'R -3'
_symmetry_Int_Tables_number 148
_symmetry_space_group_name_Hall '-R 3'
_cell_length_a 9.5059
_cell_length_b 9.5059
_cell_length_c 22.6792
_cell_angle_alpha 90.00
_cell_angle_beta 90.00
_cell_angle_gamma 120.00
loop_
_atom_site_label
_atom_site_fract_x
_atom_site_fract_y
_atom_site_fract_z
Ac1 0.0000 0.0000 0.0811
Ac2 0.0522 0.7993 0.6350
Nd1 0.0000 0.0000 0.5000
Y1 0.0239 0.2408 0.2038
```

---

No. 5
Ac2Nd5Y: theoretical X-ray powder pattern (a wavelength of 1.5418 Å), based on a crystal structure in Alexandria, relaxed with GGA-PBE.
No peak broadening, texture or thermal motion is included.

Most intense lines, 2θ = 10–90°, low angle first:
| 2theta | Rel. int. | (hkl) |
| --- | --- | --- |
| 29.2 | 100 | 1 1 4 |
| 33.7 | 35 | 2 0 0 |
| 34.2 | 16 | 0 0 8 |
| 48.7 | 24 | 2 0 8 |
| 57.5 | 30 | 3 1 4 |
| 58.1 | 13 | 1 1 12 |

Atomic structure:
```
data_Ac2Nd5Y
_chemical_formula_sum 'Ac4 Nd10 Y2'
_symmetry_space_group_name_H-M 'I 4/m m m'
_symmetry_Int_Tables_number 139
_symmetry_space_group_name_Hall '-I 4 2'
_cell_length_a 5.3228
_cell_length_b 5.3228
_cell_length_c 21.0042
_cell_angle_alpha 90.00
_cell_angle_beta 90.00
_cell_angle_gamma 90.00
loop_
_atom_site_label
_atom_site_fract_x
_atom_site_fract_y
_atom_site_fract_z
Ac1 0.0000 0.0000 0.2503
Nd1 0.0000 0.0000 0.0000
Nd2 0.0000 0.5000 0.1193
Y1 0.0000 0.0000 0.5000
```

---

No. 6
Ac7Nd12Y: theoretical X-ray powder pattern (a wavelength of 1.5418 Å), based on a crystal structure in Alexandria, relaxed with GGA-PBE.
No peak broadening, texture or thermal motion is included.

Most intense lines, 2θ = 10–90°, low angle first:
| 2theta | Rel. int. | (hkl) |
| --- | --- | --- |
| 10.3 | 40 | 1 1 0 |
| 20.6 | 69 | 2 2 0 |
| 29.3 | 92 | 4 0 0 |
| 36.1 | 100 | 4 2 2 |
| 56.6 | 68 | 6 4 2 |
| 80.4 | 37 | 8 2 6 |

Atomic structure:
```
data_Ac7Nd12Y
_chemical_formula_sum 'Ac14 Nd24 Y2'
_symmetry_space_group_name_H-M 'I m -3'
_symmetry_Int_Tables_number 204
_symmetry_space_group_name_Hall '-I 2 2 3'
_cell_length_a 12.1775
_cell_length_b 12.1775
_cell_length_c 12.1775
_cell_angle_alpha 90.00
_cell_angle_beta 90.00
_cell_angle_gamma 90.00
loop_
_atom_site_label
_atom_site_fract_x
_atom_site_fract_y
_atom_site_fract_z
Ac1 0.0000 0.0000 0.5000
Ac2 0.2500 0.2500 0.2500
Nd1 0.0000 0.3234 0.2423
Y1 0.0000 0.0000 0.0000
```

---

No. 7
Ac5Nd5Y2: theoretical X-ray powder pattern (a wavelength of 1.5418 Å), based on a crystal structure in Alexandria, relaxed with GGA-PBE.
No peak broadening, texture or thermal motion is included.

Most intense lines, 2θ = 10–90°, low angle first:
| 2theta | Rel. int. | (hkl) |
| --- | --- | --- |
| 28.5 | 39 | 2 0 2 |
| 29.0 | 56 | 0 2 0 |
| 30.1 | 100 | 5 1 -1 |
| 30.4 | 74 | 3 1 -3 |
| 41.1 | 30 | 2 2 2 |
| 52.1 | 23 | 5 3 -1 |

Atomic structure:
```
data_Ac5Nd5Y2
_chemical_formula_sum 'Ac10 Nd10 Y4'
_symmetry_space_group_name_H-M 'C 1 2/m 1'
_symmetry_Int_Tables_number 12
_cell_length_a 17.2840
_cell_length_b 6.1555
_cell_length_c 10.0934
_cell_angle_alpha 90.00
_cell_angle_beta 120.40
_cell_angle_gamma 90.00
loop_
_symmetry_equiv_pos_as_xyz
'x,y,z'
'-x,-y,-z'
'-x,y,-z'
'x,-y,z'
'x+1/2,y+1/2,z'
'-x+1/2,-y+1/2,-z'
'-x+1/2,y+1/2,-z'
'x+1/2,-y+1/2,z'
loop_
_atom_site_label
_atom_site_fract_x
_atom_site_fract_y
_atom_site_fract_z
Ac1 0.0000 0.0000 0.0000
Ac2 0.1775 0.0000 0.8521
Ac3 0.2371 0.5000 0.6919
Nd1 0.0000 0.5000 0.5000
Nd2 0.0746 0.5000 0.8708
Nd3 0.1492 0.5000 0.2826
Y1 0.0859 0.0000 0.4233
```

---

No. 8
Ac4NdY2: theoretical X-ray powder pattern (a wavelength of 1.5418 Å), based on a crystal structure in Alexandria, relaxed with GGA-PBE.
No peak broadening, texture or thermal motion is included.

Most intense lines, 2θ = 10–90°, low angle first:
| 2theta | Rel. int. | (hkl) |
| --- | --- | --- |
| 28.5 | 100 | 1 1 -4 |
| 28.9 | 26 | 0 4 1 |
| 29.7 | 64 | 2 2 -1 |
| 30.3 | 27 | 1 3 -3 |
| 34.9 | 29 | 1 3 3 |
| 52.0 | 22 | 0 2 7 |

Atomic structure:
```
data_Ac4NdY2
_chemical_formula_sum 'Ac16 Nd4 Y8'
_symmetry_space_group_name_H-M 'C 1 c 1'
_symmetry_Int_Tables_number 9
_cell_length_a 6.8298
_cell_length_b 12.7422
_cell_length_c 13.2567
_cell_angle_alpha 90.00
_cell_angle_beta 104.72
_cell_angle_gamma 90.00
loop_
_symmetry_equiv_pos_as_xyz
'x,y,z'
'x,-y,z+1/2'
'x+1/2,y+1/2,z'
'x+1/2,-y+1/2,z+1/2'
loop_
_atom_site_label
_atom_site_fract_x
_atom_site_fract_y
_atom_site_fract_z
Ac1 0.0000 0.0806 0.0000
Ac2 0.0888 0.0857 0.2797
Ac3 0.1448 0.3559 0.9292
Ac4 0.4442 0.1408 0.8532
Nd1 0.0447 0.4396 0.6414
Y1 0.2447 0.1835 0.5739
Y2 0.3479 0.3190 0.2082
```